The following is a theoretical powder X-ray diffraction pattern of TbPmSm14. It was derived from DFT lattice parameters and positions (PBE), using copper Kα.
Kinematic intensities with the Lorentz-polarization factor, no thermal factor.

Most intense lines, 10° ≤ 2θ ≤ 80°, in order of rising 2θ:
| two_theta | Rel. int. |
| --- | --- |
| 28.3 | 8 |
| 29.3 | 43 |
| 30.5 | 34 |
| 32.2 | 100 |
| 36.6 | 24 |
| 48.4 | 11 |
| 50.1 | 26 |
| 55.3 | 22 |
| 59.1 | 6 |
| 59.8 | 30 |
| 60.8 | 16 |
| 77.8 | 8 |

Atomic structure:
```
data_TbPmSm14
_cell_length_a 11.7269
_cell_length_b 7.2826
_cell_length_c 12.6093
_cell_angle_alpha 90.00
_cell_angle_beta 90.00
_cell_angle_gamma 90.00
_space_group_name_H-M_alt 'A m m 2'
_space_group_IT_number 38
loop_
_space_group_symop_operation_xyz
'x,y,z'
'-x,-y,z'
'-x,y,z'
'x,-y,z'
'x,y+1/2,z+1/2'
'-x,-y+1/2,z+1/2'
'-x,y+1/2,z+1/2'
'x,-y+1/2,z+1/2'
loop_
_atom_site_label
_atom_site_type_symbol
_atom_site_fract_x
_atom_site_fract_y
_atom_site_fract_z
Tb1 Tb 0.0000 0.0000 0.0000
Pm1 Pm 0.0000 0.0000 0.5002
Sm1 Sm 0.0000 0.2495 0.7499
Sm2 Sm 0.2491 0.0000 0.1667
Sm3 Sm 0.2495 0.2504 0.4169
Sm4 Sm 0.2506 0.0000 0.6668
Sm5 Sm 0.5000 0.0000 0.3337
Sm6 Sm 0.5000 0.0000 0.8337
Sm7 Sm 0.5000 0.2496 0.0836
```